For SrMnCrP2, a crystal structure in Alexandria, relaxed with GGA-PBE gives the theoretical XRD peak list in this record (Cu Kα X-rays).

Crystal structure
```
data_SrMnCrP2
_cell_length_a 3.848
_cell_length_b 3.848
_cell_length_c 12.041
_cell_angle_alpha 90.00
_cell_angle_beta 90.00
_cell_angle_gamma 90.00
_symmetry_space_group_name_H-M 'I -4 m 2'
_symmetry_Int_Tables_number 119
_symmetry_space_group_name_Hall 'I -4 -2'
loop_
_atom_site_label
_atom_site_type_symbol
_atom_site_fract_x
_atom_site_fract_y
_atom_site_fract_z
_atom_site_occupancy
Sr1 Sr 0.000 0.000 0.000 1
Mn1 Mn 0.000 0.500 0.750 1
Cr1 Cr 0.000 0.500 0.250 1
P1 P 0.000 0.000 0.355 1
```

Main lines, by angle (2θ = 10–80°):
2θ = 24.28°, d 3.665, I = 20
2θ = 29.68°, d 3.010, I = 27
2θ = 32.23°, d 2.778, I = 86
2θ = 36.23°, d 2.479, I = 100
2θ = 44.38°, d 2.041, I = 16
2θ = 47.24°, d 1.924, I = 45
2θ = 56.79°, d 1.621, I = 16
2θ = 57.02°, d 1.615, I = 42
2θ = 58.35°, d 1.582, I = 29
2θ = 69.04°, d 1.360, I = 14